Record 1
# Ni6AsPt
Computed X-ray diffraction stick pattern, Cu Kα (λ = 1.5418 Å). Input: a cell relaxed with PBE.
No peak broadening, texture or thermal motion is included.

Top 8 peaks for 10 to 80 degrees two-theta, sorted by position:
d (Å)  Position (°2θ)  I/Imax
5.916  14.98  4.4
3.623  24.57  14.5
2.562  35.03  11.9
2.092  43.25  100.0
1.811  50.37  47.3
1.620  56.82  6.5
1.479  62.83  5.0
1.281  74.01  28.4

abc: 7.244 10.251 10.247
angles: 90.00 90.00 90.00
Space group Cmmm (No. 65)
Unique sites:
1 Ni 0.000 0.000 0.000 x2
2 Ni 0.000 0.000 0.500 x2
3 Ni 0.000 0.248 0.244 x8
4 Ni 0.000 0.500 0.000 x2
5 Ni 0.000 0.500 0.500 x2
6 Ni 0.246 0.124 0.372 x16
7 Ni 0.248 0.125 0.122 x16
8 As 0.000 0.000 0.252 x4
9 As 0.000 0.251 0.000 x4
10 Pt 0.000 0.252 0.500 x4
11 Pt 0.000 0.500 0.251 x4

---

Record 2
# Ni5AsPt
Computed X-ray diffraction stick pattern, Cu Kα (λ = 1.5418 Å). Input: a cell relaxed with PBE.
No peak broadening, texture or thermal motion is included.

Top 8 peaks for 10 to 80 degrees two-theta, sorted by position:
d (Å)  Position (°2θ)  I/Imax
6.264  14.14  29.8
2.666  33.61  26.5
2.399  37.48  41.2
2.192  41.18  62.3
2.137  42.28  37.4
2.097  43.14  100.0
1.989  45.60  52.9
1.970  46.08  32.9

abc: 6.754 6.150 8.898
angles: 90.00 111.96 90.00
Space group P2_1/c (No. 14)
Unique sites:
1 Ni 0.095 0.175 0.028 x4
2 Ni 0.257 0.640 0.719 x4
3 Ni 0.258 0.646 0.445 x4
4 Ni 0.333 0.233 0.844 x4
5 Ni 0.357 0.010 0.579 x4
6 As 0.464 0.117 0.148 x4
7 Pt 0.006 0.509 0.168 x4

---

Record 3
# Pu4Ni3As8
Computed X-ray diffraction stick pattern, Cu Kα (λ = 1.5418 Å). Input: a cell relaxed with PBE.
No peak broadening, texture or thermal motion is included.

Top 8 peaks for 10 to 80 degrees two-theta, sorted by position:
d (Å)  Position (°2θ)  I/Imax
3.652  24.37  64.4
2.816  31.78  19.0
2.423  37.11  49.8
2.399  37.50  100.0
1.991  45.56  40.0
1.664  55.20  19.2
1.538  60.16  26.6
1.214  78.83  23.4

abc: 3.982 3.982 18.314
angles: 90.00 90.00 90.00
Space group P-4m2 (No. 115)
Unique sites:
1 Pu 0.000 0.500 0.117 x2
2 Pu 0.000 0.500 0.632 x2
3 Ni 0.000 0.000 0.000 x1
4 Ni 0.000 0.000 0.500 x1
5 Ni 0.500 0.500 0.500 x1
6 As 0.000 0.000 0.243 x2
7 As 0.000 0.500 0.426 x2
8 As 0.000 0.500 0.932 x2
9 As 0.500 0.500 0.243 x2